No. 1
Structure and calculated powder XRD pattern of Ca4LaTl15 (a structure optimized by DFT (PBE); Cu Kα (λ = 1.5418 Å)).
No peak broadening, texture or thermal motion is included.

Atomic structure:
```
Ca4LaTl15
1.0
4.868 0.000 0.000
0.000 4.868 0.000
0.000 0.000 24.385
Ca La Tl
4 1 15
direct
0.000 0.000 0.101
0.000 0.000 0.301
0.000 0.000 0.699
0.000 0.000 0.899
0.000 0.000 0.500
0.000 0.500 0.000
0.000 0.500 0.200
0.000 0.500 0.399
0.000 0.500 0.601
0.000 0.500 0.800
0.500 0.000 0.000
0.500 0.000 0.200
0.500 0.000 0.399
0.500 0.000 0.601
0.500 0.000 0.800
0.500 0.500 0.100
0.500 0.500 0.299
0.500 0.500 0.500
0.500 0.500 0.701
0.500 0.500 0.900
```

Most intense lines, 15° ≤ 2θ ≤ 90°, in order of rising 2θ:
| Position (°2θ) | I_rel |
| --- | --- |
| 18.21 | 12.2 |
| 25.87 | 10.9 |
| 31.82 | 100.0 |
| 36.91 | 50.6 |
| 41.45 | 6.6 |
| 53.19 | 35.8 |
| 63.26 | 14.2 |
| 63.36 | 28.3 |
| 66.50 | 12.3 |
| 87.22 | 12.2 |

No. 2
Structure and calculated powder XRD pattern of NpScSi (a structure optimized by DFT (PBE); Cu Kα (λ = 1.5418 Å)).
No peak broadening, texture or thermal motion is included.

Atomic structure:
```
NpScSi
1.0
2.937 0.000 0.000
0.000 4.766 0.000
0.000 0.000 16.552
Np Sc Si
4 4 4
direct
0.000 0.246 0.000
0.000 0.754 0.000
0.500 0.254 0.500
0.500 0.746 0.500
0.000 0.500 0.321
0.000 0.500 0.679
0.500 0.000 0.179
0.500 0.000 0.821
0.000 0.500 0.155
0.000 0.500 0.845
0.500 0.000 0.345
0.500 0.000 0.655
```

Most intense lines, 15° ≤ 2θ ≤ 90°, in order of rising 2θ:
| Position (°2θ) | I_rel |
| --- | --- |
| 21.47 | 92.7 |
| 30.92 | 100.0 |
| 32.46 | 75.6 |
| 34.60 | 87.7 |
| 39.34 | 74.0 |
| 41.09 | 36.8 |
| 43.82 | 65.6 |
| 49.54 | 93.7 |
| 52.13 | 43.7 |
| 57.01 | 47.8 |

No. 3
Structure and calculated powder XRD pattern of BaYCu4O7 (a structure optimized by DFT (PBE); Cu Kα (λ = 1.5418 Å)).
No peak broadening, texture or thermal motion is included.

Atomic structure:
```
BaYCu4O7
1.0
6.318 0.000 0.000
-3.159 5.472 0.000
0.000 0.000 10.423
Ba Y Cu O
2 2 8 14
direct
0.333 0.667 0.000
0.667 0.333 0.500
0.333 0.667 0.396
0.667 0.333 0.896
0.000 0.000 0.452
0.000 0.000 0.952
0.170 0.340 0.705
0.170 0.830 0.705
0.340 0.170 0.205
0.660 0.830 0.705
0.830 0.170 0.205
0.830 0.660 0.205
0.000 0.000 0.267
0.000 0.000 0.767
0.016 0.508 0.782
0.163 0.326 0.522
0.163 0.837 0.522
0.326 0.163 0.022
0.492 0.508 0.782
0.492 0.984 0.782
0.508 0.016 0.282
0.508 0.492 0.282
0.674 0.837 0.522
0.837 0.163 0.022
0.837 0.674 0.022
0.984 0.492 0.282
```

Most intense lines, 15° ≤ 2θ ≤ 90°, in order of rising 2θ:
| Position (°2θ) | I_rel |
| --- | --- |
| 28.25 | 35.2 |
| 30.48 | 59.6 |
| 33.16 | 100.0 |
| 33.87 | 74.8 |
| 34.42 | 19.7 |
| 51.42 | 24.6 |
| 53.20 | 25.5 |
| 55.41 | 39.6 |
| 58.42 | 35.6 |
| 63.40 | 17.5 |

No. 4
Structure and calculated powder XRD pattern of CsSiH2 (a structure optimized by DFT (PBE); Cu Kα (λ = 1.5418 Å)).
No peak broadening, texture or thermal motion is included.

Atomic structure:
```
CsSiH2
1.0
6.933 0.000 0.000
0.000 19.859 0.000
-3.379 0.000 3.484
Cs Si H
4 4 8
direct
0.000 0.135 0.250
0.000 0.865 0.750
0.500 0.365 0.750
0.500 0.635 0.250
0.000 0.485 0.750
0.000 0.515 0.250
0.500 0.015 0.250
0.500 0.985 0.750
0.232 0.434 0.981
0.232 0.566 0.481
0.268 0.066 0.019
0.268 0.934 0.519
0.732 0.066 0.481
0.732 0.934 0.981
0.768 0.434 0.519
0.768 0.566 0.019
```

Most intense lines, 15° ≤ 2θ ≤ 90°, in order of rising 2θ:
| Position (°2θ) | I_rel |
| --- | --- |
| 17.87 | 42.4 |
| 18.38 | 25.0 |
| 18.82 | 69.2 |
| 22.35 | 100.0 |
| 27.13 | 59.7 |
| 27.26 | 58.9 |
| 28.76 | 19.7 |
| 29.05 | 48.6 |
| 36.13 | 31.4 |
| 37.53 | 29.8 |

No. 5
Structure and calculated powder XRD pattern of Re2Ir2Rh3 (a structure optimized by DFT (PBE); Cu Kα (λ = 1.5418 Å)).
No peak broadening, texture or thermal motion is included.

Atomic structure:
```
Re2Ir2Rh3
1.0
4.362 0.000 0.000
0.000 2.676 0.000
-2.173 0.000 8.914
Re Ir Rh
2 2 3
direct
0.140 0.000 0.281
0.860 0.000 0.719
0.425 0.500 0.849
0.575 0.500 0.151
0.000 0.500 0.000
0.283 0.500 0.567
0.717 0.500 0.433
```

Most intense lines, 15° ≤ 2θ ≤ 90°, in order of rising 2θ:
| Position (°2θ) | I_rel |
| --- | --- |
| 39.27 | 22.1 |
| 39.84 | 50.6 |
| 41.04 | 100.0 |
| 41.40 | 49.6 |
| 42.45 | 40.5 |
| 45.62 | 18.5 |
| 63.29 | 14.1 |
| 74.48 | 16.6 |
| 75.25 | 16.9 |
| 84.82 | 26.3 |

No. 6
Structure and calculated powder XRD pattern of Tl4AgSe4 (a structure optimized by DFT (PBE); Cu Kα (λ = 1.5418 Å)).
No peak broadening, texture or thermal motion is included.

Atomic structure:
```
Tl4AgSe4
1.0
-3.749 3.749 5.301
3.749 -3.749 5.301
3.749 3.749 -5.301
Tl Ag Se
4 1 4
direct
0.000 0.500 0.500
0.198 0.198 0.000
0.500 0.000 0.500
0.802 0.802 0.000
0.500 0.500 0.000
0.157 0.157 0.551
0.394 0.843 0.000
0.606 0.606 0.449
0.843 0.394 0.000
```

Most intense lines, 15° ≤ 2θ ≤ 90°, in order of rising 2θ:
| Position (°2θ) | I_rel |
| --- | --- |
| 23.74 | 100.0 |
| 27.91 | 19.4 |
| 33.82 | 47.4 |
| 36.96 | 24.0 |
| 41.74 | 61.9 |
| 44.40 | 12.5 |
| 48.58 | 18.4 |
| 54.76 | 16.2 |
| 65.93 | 23.0 |
| 67.91 | 10.9 |

No. 7
Structure and calculated powder XRD pattern of LiPuTcIr (a structure optimized by DFT (PBE); Cu Kα (λ = 1.5418 Å)).
No peak broadening, texture or thermal motion is included.

Atomic structure:
```
LiPuTcIr
1.0
6.360 0.000 0.000
0.000 6.360 0.000
0.000 0.000 6.360
Li Pu Tc Ir
4 4 4 4
direct
0.000 0.000 0.000
0.000 0.500 0.500
0.500 0.000 0.500
0.500 0.500 0.000
0.000 0.000 0.500
0.000 0.500 0.000
0.500 0.000 0.000
0.500 0.500 0.500
0.250 0.250 0.250
0.250 0.750 0.750
0.750 0.250 0.750
0.750 0.750 0.250
0.250 0.250 0.750
0.250 0.750 0.250
0.750 0.250 0.250
0.750 0.750 0.750
```

Most intense lines, 15° ≤ 2θ ≤ 90°, in order of rising 2θ:
| Position (°2θ) | I_rel |
| --- | --- |
| 24.24 | 51.9 |
| 28.06 | 1.3 |
| 40.10 | 100.0 |
| 47.41 | 27.2 |
| 58.00 | 17.2 |
| 63.79 | 11.5 |
| 72.85 | 35.2 |
| 78.07 | 8.8 |
| 86.57 | 11.5 |

No. 8
Structure and calculated powder XRD pattern of CaIn3Ag3 (a structure optimized by DFT (PBE); Cu Kα (λ = 1.5418 Å)).
No peak broadening, texture or thermal motion is included.

Atomic structure:
```
CaIn3Ag3
1.0
3.862 2.230 6.541
-3.862 2.230 6.541
0.000 -4.459 6.541
Ca In Ag
2 6 6
direct
0.100 0.100 0.100
0.900 0.900 0.900
0.133 0.596 0.596
0.404 0.404 0.867
0.404 0.867 0.404
0.596 0.133 0.596
0.596 0.596 0.133
0.867 0.404 0.404
0.200 0.200 0.579
0.200 0.579 0.200
0.421 0.800 0.800
0.579 0.200 0.200
0.800 0.421 0.800
0.800 0.800 0.421
```

Most intense lines, 15° ≤ 2θ ≤ 90°, in order of rising 2θ:
| Position (°2θ) | I_rel |
| --- | --- |
| 23.03 | 12.1 |
| 27.05 | 13.3 |
| 32.40 | 100.0 |
| 35.26 | 62.1 |
| 35.81 | 18.7 |
| 40.13 | 33.1 |
| 41.41 | 29.2 |
| 42.54 | 26.2 |
| 47.07 | 30.2 |
| 64.46 | 20.6 |

No. 9
Structure and calculated powder XRD pattern of Ag2TeI (a structure optimized by DFT (PBE); Cu Kα (λ = 1.5418 Å)).
No peak broadening, texture or thermal motion is included.

Atomic structure:
```
Ag2TeI
1.0
5.036 0.000 0.000
-0.442 6.933 0.000
-0.286 -1.227 6.868
Ag Te I
4 2 2
direct
0.000 0.000 0.000
0.017 0.475 0.506
0.529 0.681 0.425
0.732 0.312 0.822
0.047 0.851 0.363
0.194 0.160 0.679
0.567 0.703 0.855
0.586 0.279 0.219
```

Most intense lines, 15° ≤ 2θ ≤ 90°, in order of rising 2θ:
| Position (°2θ) | I_rel |
| --- | --- |
| 19.89 | 45.2 |
| 22.73 | 43.4 |
| 26.94 | 62.5 |
| 27.80 | 86.8 |
| 30.60 | 100.0 |
| 30.76 | 42.1 |
| 33.61 | 48.7 |
| 35.78 | 48.5 |
| 43.86 | 53.7 |
| 44.94 | 50.2 |

No. 10
Structure and calculated powder XRD pattern of CsRb3Pb8 (a structure optimized by DFT (PBE); Cu Kα (λ = 1.5418 Å)).
No peak broadening, texture or thermal motion is included.

Atomic structure:
```
CsRb3Pb8
1.0
6.967 0.000 0.000
-3.484 6.034 0.000
0.000 0.000 10.940
Cs Rb Pb
1 3 8
direct
0.000 0.000 0.000
0.000 0.000 0.374
0.667 0.333 0.502
0.667 0.333 0.872
0.005 0.503 0.189
0.171 0.342 0.686
0.171 0.829 0.686
0.333 0.667 0.439
0.333 0.667 0.938
0.497 0.503 0.189
0.497 0.995 0.189
0.658 0.829 0.686
```

Most intense lines, 15° ≤ 2θ ≤ 90°, in order of rising 2θ:
| Position (°2θ) | I_rel |
| --- | --- |
| 28.60 | 36.0 |
| 30.42 | 85.7 |
| 30.74 | 100.0 |
| 32.74 | 26.3 |
| 33.93 | 42.8 |
| 46.99 | 21.8 |
| 48.21 | 24.5 |
| 51.60 | 31.5 |
| 52.54 | 32.6 |
| 63.30 | 24.5 |

No. 11
Structure and calculated powder XRD pattern of Ca2TiGe4Ir3 (a structure optimized by DFT (PBE); Cu Kα (λ = 1.5418 Å)).
No peak broadening, texture or thermal motion is included.

Atomic structure:
```
Ca2TiGe4Ir3
1.0
4.159 0.000 0.000
0.000 4.159 0.000
0.000 0.000 10.876
Ca Ti Ge Ir
2 1 4 3
direct
0.000 0.500 0.248
0.500 0.000 0.752
0.000 0.000 0.500
0.000 0.000 0.000
0.000 0.500 0.643
0.500 0.000 0.357
0.500 0.500 0.000
0.000 0.500 0.874
0.500 0.000 0.126
0.500 0.500 0.500
```

Most intense lines, 15° ≤ 2θ ≤ 90°, in order of rising 2θ:
| Position (°2θ) | I_rel |
| --- | --- |
| 16.30 | 34.9 |
| 22.89 | 98.6 |
| 26.99 | 43.0 |
| 32.77 | 70.5 |
| 34.68 | 82.2 |
| 43.52 | 84.1 |
| 45.43 | 100.0 |
| 47.15 | 36.4 |
| 55.53 | 31.2 |
| 81.25 | 37.2 |

No. 12
Structure and calculated powder XRD pattern of Be2Fe5GeMo2 (a structure optimized by DFT (PBE); Cu Kα (λ = 1.5418 Å)).
No peak broadening, texture or thermal motion is included.

Atomic structure:
```
Be2Fe5GeMo2
1.0
8.742 0.000 0.000
0.000 8.742 0.000
0.000 0.000 2.885
Be Fe Ge Mo
4 10 2 4
direct
0.123 0.377 0.000
0.377 0.877 0.000
0.623 0.123 0.000
0.877 0.623 0.000
0.000 0.500 0.500
0.064 0.210 0.500
0.210 0.936 0.500
0.290 0.436 0.500
0.436 0.710 0.500
0.500 0.000 0.500
0.564 0.290 0.500
0.710 0.564 0.500
0.790 0.064 0.500
0.936 0.790 0.500
0.000 0.000 0.000
0.500 0.500 0.000
0.175 0.675 0.000
0.325 0.175 0.000
0.675 0.825 0.000
0.825 0.325 0.000
```

Most intense lines, 15° ≤ 2θ ≤ 90°, in order of rising 2θ:
| Position (°2θ) | I_rel |
| --- | --- |
| 22.74 | 19.4 |
| 38.79 | 69.9 |
| 42.64 | 72.0 |
| 42.88 | 36.2 |
| 43.94 | 18.3 |
| 45.44 | 100.0 |
| 46.45 | 26.0 |
| 49.08 | 19.7 |
| 64.60 | 16.0 |
| 80.53 | 20.5 |

No. 13
Structure and calculated powder XRD pattern of In12Sn2Bi7 (a structure optimized by DFT (PBE); Cu Kα (λ = 1.5418 Å)).
No peak broadening, texture or thermal motion is included.

Atomic structure:
```
In12Sn2Bi7
1.0
14.567 0.000 0.000
0.000 3.422 0.000
-7.278 0.000 12.639
In Sn Bi
12 2 7
direct
0.000 0.000 0.000
0.006 0.500 0.809
0.156 0.500 0.493
0.164 0.000 0.714
0.248 0.500 0.182
0.338 0.000 0.427
0.460 0.000 0.173
0.529 0.500 0.624
0.624 0.000 0.878
0.714 0.500 0.332
0.846 0.500 0.090
0.911 0.000 0.338
0.417 0.500 0.922
0.749 0.000 0.588
0.083 0.000 0.255
0.234 0.000 0.961
0.377 0.000 0.700
0.537 0.500 0.398
0.639 0.000 0.105
0.772 0.500 0.800
0.940 0.500 0.565
```

Most intense lines, 15° ≤ 2θ ≤ 90°, in order of rising 2θ:
| Position (°2θ) | I_rel |
| --- | --- |
| 18.59 | 18.5 |
| 26.99 | 12.7 |
| 32.19 | 74.6 |
| 32.49 | 100.0 |
| 33.76 | 11.1 |
| 36.00 | 17.3 |
| 36.72 | 16.4 |
| 46.39 | 13.8 |
| 57.78 | 15.4 |
| 64.06 | 28.5 |